[1]
This entry pairs a crystal structure of CuS2 with its computed powder X-ray diffraction pattern. Radiation: Cu Kα (λ = 1.5418 Å). Structure: a GGA-PBE-relaxed structure.

Largest 6 diffraction maxima, by angle, 10 to 90 degrees two-theta:
19.60°, 4.529 Å, I = 45
26.62°, 3.349 Å, I = 92
27.15°, 3.284 Å, I = 100
36.15°, 2.485 Å, I = 40
39.68°, 2.272 Å, I = 40
51.30°, 1.781 Å, I = 59

Structure:
```
CuS2
1.0
4.454 0.000 0.000
0.000 5.944 0.000
-2.065 0.000 4.529
Cu S
2 4
direct
0.000 0.000 0.000
0.500 0.500 0.000
0.065 0.290 0.720
0.435 0.790 0.280
0.565 0.790 0.720
0.935 0.290 0.280
```

=====

[2]
This entry pairs a crystal structure of Cu39S20 with its computed powder X-ray diffraction pattern. Radiation: Cu Kα (λ = 1.5418 Å). Structure: a GGA-PBE-relaxed structure.

Largest 6 diffraction maxima, by angle, 10 to 90 degrees two-theta:
27.84°, 3.204 Å, I = 100
45.47°, 1.995 Å, I = 49
46.21°, 1.964 Å, I = 51
47.11°, 1.929 Å, I = 44
83.93°, 1.153 Å, I = 9
87.48°, 1.115 Å, I = 9

Structure:
```
Cu39S20
1.0
8.793 -5.379 0.000
8.793 5.379 0.000
-8.576 0.000 9.055
Cu S
39 20
direct
0.000 0.000 0.000
0.011 0.445 0.324
0.042 0.267 0.603
0.050 0.550 0.700
0.087 0.044 0.364
0.127 0.691 0.134
0.141 0.794 0.373
0.145 0.379 0.005
0.188 0.151 0.788
0.206 0.859 0.627
0.233 0.578 0.435
0.282 0.322 0.236
0.287 0.022 0.093
0.309 0.873 0.866
0.340 0.578 0.799
0.364 0.399 0.548
0.374 0.139 0.516
0.422 0.660 0.201
0.422 0.767 0.565
0.450 0.950 0.300
0.463 0.219 0.881
0.501 0.499 0.000
0.555 0.989 0.676
0.563 0.335 0.292
0.601 0.636 0.452
0.621 0.855 0.995
0.648 0.148 0.094
0.665 0.437 0.708
0.678 0.718 0.764
0.733 0.958 0.397
0.751 0.249 0.500
0.781 0.537 0.119
0.809 0.072 0.787
0.849 0.812 0.212
0.852 0.352 0.906
0.861 0.626 0.484
0.928 0.191 0.213
0.956 0.913 0.636
0.978 0.713 0.907
0.051 0.543 0.192
0.092 0.096 0.890
0.141 0.646 0.600
0.208 0.202 0.301
0.244 0.756 0.000
0.300 0.310 0.705
0.354 0.859 0.400
0.408 0.393 0.093
0.457 0.949 0.808
0.507 0.493 0.500
0.556 0.052 0.202
0.607 0.592 0.907
0.649 0.149 0.593
0.690 0.700 0.295
0.758 0.242 0.000
0.798 0.792 0.699
0.851 0.351 0.407
0.904 0.908 0.110
0.948 0.444 0.798
0.995 0.005 0.500
```

=====

[3]
This entry pairs a crystal structure of Cu2S with its computed powder X-ray diffraction pattern. Radiation: Cu Kα (λ = 1.5418 Å). Structure: a GGA-PBE-relaxed structure.

Largest 6 diffraction maxima, by angle, 10 to 90 degrees two-theta:
26.43°, 3.372 Å, I = 16
38.26°, 2.353 Å, I = 100
43.57°, 2.077 Å, I = 36
50.44°, 1.809 Å, I = 13
54.42°, 1.686 Å, I = 17
55.60°, 1.653 Å, I = 12

Structure:
```
Cu2S
1.0
6.569 0.000 0.000
0.000 6.569 0.000
0.000 0.000 3.929
Cu S
8 4
direct
0.086 0.250 0.125
0.250 0.586 0.375
0.250 0.914 0.875
0.414 0.250 0.625
0.586 0.750 0.625
0.750 0.086 0.875
0.750 0.414 0.375
0.914 0.750 0.125
0.000 0.000 0.500
0.000 0.500 0.750
0.500 0.000 0.250
0.500 0.500 0.000
```

=====

[4]
This entry pairs a crystal structure of Cu18S11 with its computed powder X-ray diffraction pattern. Radiation: Cu Kα (λ = 1.5418 Å). Structure: a GGA-PBE-relaxed structure.

Largest 6 diffraction maxima, by angle, 10 to 90 degrees two-theta:
28.02°, 3.185 Å, I = 42
46.22°, 1.964 Å, I = 38
46.63°, 1.948 Å, I = 44
46.97°, 1.935 Å, I = 56
47.18°, 1.926 Å, I = 63
47.38°, 1.919 Å, I = 100

Structure:
```
Cu18S11
1.0
3.839 0.000 0.000
1.902 3.351 0.000
0.708 1.535 35.054
Cu S
18 11
direct
0.000 0.000 0.000
0.014 0.973 0.202
0.129 0.734 0.268
0.175 0.654 0.524
0.212 0.579 0.673
0.269 0.461 0.813
0.326 0.360 0.952
0.356 0.289 0.080
0.378 0.139 0.348
0.529 0.960 0.605
0.598 0.818 0.767
0.624 0.500 0.387
0.640 0.724 0.908
0.687 0.633 0.165
0.872 0.266 0.638
0.884 0.224 0.719
0.888 0.317 0.452
0.965 0.084 0.859
0.021 0.964 0.063
0.067 0.799 0.330
0.194 0.628 0.600
0.298 0.412 0.882
0.355 0.297 0.146
0.496 0.047 0.420
0.558 0.890 0.702
0.659 0.687 0.974
0.724 0.551 0.236
0.842 0.322 0.514
0.933 0.141 0.791
```

=====

[5]
This entry pairs a crystal structure of Cu2S with its computed powder X-ray diffraction pattern. Radiation: Cu Kα (λ = 1.5418 Å). Structure: a GGA-PBE-relaxed structure.

Largest 6 diffraction maxima, by angle, 10 to 90 degrees two-theta:
10.01°, 8.837 Å, I = 100
30.41°, 2.939 Å, I = 46
39.21°, 2.298 Å, I = 30
40.51°, 2.227 Å, I = 27
45.14°, 2.008 Å, I = 65
45.81°, 1.981 Å, I = 40

Structure:
```
Cu2S
1.0
4.022 0.000 0.000
1.903 4.208 0.000
0.658 1.292 17.675
Cu S
12 6
direct
0.000 0.000 0.000
0.016 0.146 0.512
0.120 0.797 0.876
0.303 0.507 0.576
0.333 0.586 0.327
0.383 0.224 0.058
0.479 0.072 0.916
0.563 0.900 0.752
0.625 0.883 0.405
0.676 0.635 0.012
0.805 0.430 0.873
0.925 0.130 0.237
0.076 0.899 0.686
0.182 0.715 0.453
0.342 0.377 0.807
0.428 0.104 0.288
0.856 0.265 0.111
0.867 0.347 0.623
```

=====

[6]
This entry pairs a crystal structure of Cu11S20 with its computed powder X-ray diffraction pattern. Radiation: Cu Kα (λ = 1.5418 Å). Structure: a GGA-PBE-relaxed structure.

Largest 6 diffraction maxima, by angle, 10 to 90 degrees two-theta:
29.34°, 3.044 Å, I = 28
29.90°, 2.989 Å, I = 100
30.87°, 2.897 Å, I = 21
49.23°, 1.851 Å, I = 61
51.26°, 1.782 Å, I = 23
59.24°, 1.560 Å, I = 17

Structure:
```
Cu11S20
1.0
1.851 1.069 55.034
-1.851 1.069 55.034
0.000 -2.137 55.034
Cu S
11 20
direct
0.000 0.000 0.000
0.048 0.048 0.048
0.247 0.247 0.247
0.298 0.298 0.298
0.351 0.351 0.351
0.543 0.543 0.543
0.597 0.597 0.597
0.649 0.649 0.649
0.846 0.846 0.846
0.896 0.896 0.896
0.948 0.948 0.948
0.035 0.035 0.035
0.080 0.080 0.080
0.145 0.145 0.145
0.183 0.183 0.183
0.233 0.233 0.233
0.285 0.285 0.285
0.338 0.338 0.338
0.386 0.386 0.386
0.442 0.442 0.442
0.486 0.486 0.486
0.531 0.531 0.531
0.584 0.584 0.584
0.636 0.636 0.636
0.690 0.690 0.690
0.742 0.742 0.742
0.780 0.780 0.780
0.828 0.828 0.828
0.882 0.882 0.882
0.935 0.935 0.935
0.986 0.986 0.986
```

=====

[7]
This entry pairs a crystal structure of CuS2 with its computed powder X-ray diffraction pattern. Radiation: Cu Kα (λ = 1.5418 Å). Structure: a GGA-PBE-relaxed structure.

Largest 6 diffraction maxima, by angle, 10 to 90 degrees two-theta:
24.26°, 3.669 Å, I = 35
30.69°, 2.913 Å, I = 38
30.96°, 2.888 Å, I = 100
44.16°, 2.051 Å, I = 43
48.50°, 1.877 Å, I = 52
49.97°, 1.825 Å, I = 22

Structure:
```
CuS2
1.0
4.723 0.000 0.000
0.000 5.826 0.000
0.000 0.000 3.650
Cu S
2 4
direct
0.000 0.000 0.000
0.500 0.500 0.500
0.173 0.396 0.000
0.327 0.896 0.500
0.673 0.104 0.500
0.827 0.604 0.000
```